Li7Mn8B8O24: theoretical powder X-ray diffraction pattern (Cu Ka), based on DFT lattice parameters and positions (PBE+U).
Lines closer than 0.1° are merged.

Structure:
a = 5.2801 Å, b = 9.0947 Å, c = 10.4396 Å
α = 89.60°, β = 88.25°, γ = 89.48°
Sites, in units of the cell vectors:
Li 0.0000 0.0000 0.0000
Li 0.0023 0.9678 0.4921
Li 0.1833 0.4926 0.2496
Li 0.1874 0.4871 0.7471
Li 0.4968 0.4642 0.5039
Li 0.5058 0.4985 0.9865
Li 0.6808 0.9837 0.2522
Mn 0.1670 0.8288 0.7782
Mn 0.1815 0.1524 0.2820
Mn 0.5038 0.1297 0.5368
Mn 0.5039 0.8191 0.0240
Mn 0.6746 0.6460 0.2814
Mn 0.6897 0.2963 0.7830
Mn 0.9947 0.6483 0.5340
Mn 0.9973 0.3337 0.0364
B 0.0109 0.6571 0.0397
B 0.0148 0.3059 0.5458
B 0.1682 0.1692 0.7935
B 0.1754 0.8144 0.2847
B 0.5035 0.8061 0.5312
B 0.5074 0.1527 0.0327
B 0.6721 0.3122 0.2917
B 0.6723 0.6447 0.7866
O 0.0340 0.9422 0.2978
O 0.0433 0.0428 0.8146
O 0.0515 0.3073 0.8235
O 0.0646 0.6790 0.3193
O 0.1024 0.7933 0.0013
O 0.1157 0.1766 0.4955
O 0.1496 0.4332 0.5540
O 0.1726 0.5365 0.0540
O 0.2462 0.8233 0.5673
O 0.2524 0.1577 0.0696
O 0.4112 0.1736 0.7391
O 0.4276 0.8193 0.2412
O 0.5209 0.4354 0.3084
O 0.5447 0.5108 0.7954
O 0.5446 0.7718 0.8239
O 0.5753 0.1742 0.3251
O 0.6003 0.6669 0.4976
O 0.6169 0.2814 0.9745
O 0.6548 0.0319 0.0553
O 0.6588 0.9254 0.5262
O 0.7514 0.6373 0.0684
O 0.7570 0.3039 0.5919
O 0.9216 0.3260 0.2439
O 0.9270 0.6474 0.7453

Peak list (10 most intense, 5° ≤ 2θ ≤ 70°, in order of falling intensity)
- hkl 0 0 4, 2θ = 34.38°, I 100.0
- hkl 0 2 0, 2θ = 19.52°, I 66.3
- hkl 1 1 -1, 2θ = 21.39°, I 59.0
- hkl 1 3 0, 2θ = 33.97°, I 57.4
- hkl 1 -3 0, 2θ = 34.24°, I 34.3
- hkl -1 1 1, 2θ = 21.49°, I 33.7
- hkl 1 1 -2, 2θ = 26.28°, I 33.0
- hkl 1 -1 2, 2θ = 25.69°, I 28.4
- hkl 2 2 1, 2θ = 40.03°, I 28.0
- hkl 1 1 2, 2θ = 25.49°, I 27.4